# Li2HoInS4
Simulated powder diffraction line list, Cu Kα (λ = 1.5418 Å). Input: a crystal structure in Alexandria, relaxed with GGA-PBE.

The 10 most intense peaks (2θ = 5–70°), most intense first:
2θ 14.26, d 6.210, I = 100.0, (1 0 0)
2θ 33.17, d 2.701, I = 95.7, (1 1 1)
2θ 47.64, d 1.909, I = 44.2, (3 1 -1)
2θ 27.29, d 3.267, I = 42.8, (0 1 1)
2θ 27.40, d 3.255, I = 23.2, (1 0 -2)
2θ 36.23, d 2.480, I = 21.7, (2 1 -1)
2θ 43.61, d 2.075, I = 19.0, (2 1 1)
2θ 49.94, d 1.826, I = 16.6, (0 1 3)
2θ 28.54, d 3.128, I = 12.4, (1 1 -1)
2θ 28.71, d 3.109, I = 12.3, (0 0 2)

Atomic structure:
Cell: 6.593 3.839 6.610 Å, 90.00 109.61 90.00°
Space group P2/m (No. 10)
Symmetry-distinct sites (fractional):
Li 0.000 0.000 0.000 x1
Li 0.000 0.500 0.500 x1
Ho 0.500 0.000 0.500 x1
In 0.500 0.500 0.000 x1
S 0.247 0.500 0.249 x2
S 0.254 0.000 0.762 x2